For Ni9W4, DFT lattice parameters and positions (GGA-PBE) gives the theoretical powder X-ray diffraction pattern in this record (Cu Kα).
No peak broadening, texture or thermal motion is included.

The 10 most intense peaks (10° ≤ 2θ ≤ 90°), by angle:
| two_theta | d/Å | I_rel | hkl |
| --- | --- | --- | --- |
| 10.55 | 8.382 | 100 | 0 0 3 |
| 37.98 | 2.369 | 94 | 1 1 0 |
| 39.52 | 2.280 | 43 | 1 1 3 |
| 42.15 | 2.144 | 70 | 1 0 10 |
| 43.90 | 2.063 | 57 | 1 1 6 |
| 45.42 | 1.997 | 44 | 0 1 11 |
| 47.88 | 1.900 | 26 | 2 0 5 |
| 51.28 | 1.782 | 26 | 0 2 7 |
| 71.46 | 1.320 | 28 | 2 1 10 |
| 81.19 | 1.185 | 27 | 2 2 0 |

Structure:
```
data_Ni9W4
_chemical_formula_sum 'Ni27 W12'
_symmetry_space_group_name_H-M 'R -3 m'
_symmetry_Int_Tables_number 166
_symmetry_space_group_name_Hall '-R 3 2"'
_cell_length_a 4.7388
_cell_length_b 4.7388
_cell_length_c 25.1446
_cell_angle_alpha 90.00
_cell_angle_beta 90.00
_cell_angle_gamma 120.00
loop_
_atom_site_label
_atom_site_fract_x
_atom_site_fract_y
_atom_site_fract_z
_atom_site_occupancy
Ni1 0.0000 0.0000 0.0000 1
Ni2 0.0000 0.0000 0.3489 1
Ni3 0.0031 0.5016 0.4086 1
W1 0.0000 0.0000 0.1631 1
W2 0.0000 0.0000 0.4494 1
```

=====

For InSi5Pt3, DFT lattice parameters and positions (GGA-PBE) gives the theoretical powder X-ray diffraction pattern in this record (Cu Kα).
No peak broadening, texture or thermal motion is included.

The 10 most intense peaks (10° ≤ 2θ ≤ 90°), by angle:
| two_theta | d/Å | I_rel | hkl |
| --- | --- | --- | --- |
| 15.36 | 5.770 | 99 | 0 0 1 |
| 23.33 | 3.813 | 77 | 1 0 1 |
| 31.00 | 2.885 | 37 | 0 0 2 |
| 34.29 | 2.615 | 43 | 1 1 1 |
| 35.33 | 2.541 | 87 | 2 0 0 |
| 38.72 | 2.325 | 78 | 2 0 1 |
| 47.70 | 1.907 | 100 | 2 0 2 |
| 50.05 | 1.822 | 20 | 2 1 1 |
| 63.41 | 1.467 | 25 | 2 2 0 |
| 75.84 | 1.254 | 22 | 2 0 4 |

Structure:
```
data_InSi5Pt3
_chemical_formula_sum 'In1 Si5 Pt3'
_symmetry_space_group_name_H-M 'P 6/m m m'
_symmetry_Int_Tables_number 191
_symmetry_space_group_name_Hall '-P 6 2'
_cell_length_a 5.8676
_cell_length_b 5.8676
_cell_length_c 5.7696
_cell_angle_alpha 90.00
_cell_angle_beta 90.00
_cell_angle_gamma 120.00
loop_
_atom_site_label
_atom_site_fract_x
_atom_site_fract_y
_atom_site_fract_z
_atom_site_occupancy
In1 0.0000 0.0000 0.0000 1
Si1 0.0000 0.0000 0.5000 1
Si2 0.3333 0.6667 0.2001 1
Pt1 0.0000 0.5000 0.5000 1
```

=====

For CdIn2Te3Se, DFT lattice parameters and positions (GGA-PBE) gives the theoretical powder X-ray diffraction pattern in this record (Cu Kα).
No peak broadening, texture or thermal motion is included.

The 10 most intense peaks (10° ≤ 2θ ≤ 90°), by angle:
| two_theta | d/Å | I_rel | hkl |
| --- | --- | --- | --- |
| 24.25 | 3.670 | 61 | 1 -1 1 |
| 24.63 | 3.615 | 100 | 1 1 0 |
| 24.79 | 3.592 | 50 | 1 1 -2 |
| 40.14 | 2.247 | 28 | 2 -2 0 |
| 40.46 | 2.229 | 27 | 2 0 1 |
| 40.59 | 2.223 | 26 | 0 2 -3 |
| 40.87 | 2.208 | 48 | 0 2 1 |
| 41.10 | 2.196 | 23 | 2 0 -3 |
| 48.02 | 1.895 | 23 | -3 1 2 |
| 48.14 | 1.890 | 14 | 1 3 -3 |

Structure:
```
data_CdIn2Te3Se
_chemical_formula_sum 'Cd1 In2 Te3 Se1'
_symmetry_space_group_name_H-M 'P 1'
_symmetry_Int_Tables_number 1
_cell_length_a 6.2922
_cell_length_b 6.3083
_cell_length_c 7.6128
_cell_angle_alpha 114.36
_cell_angle_beta 113.18
_cell_angle_gamma 91.01
loop_
_symmetry_equiv_pos_as_xyz
'x,y,z'
loop_
_atom_site_label
_atom_site_fract_x
_atom_site_fract_y
_atom_site_fract_z
_atom_site_occupancy
Cd1 0.0000 0.0000 0.0000 1
In1 0.5155 0.5160 0.9996 1
In2 0.7549 0.2727 0.5124 1
Te1 0.1439 0.1031 0.7233 1
Te2 0.3716 0.8707 0.2802 1
Te3 0.9212 0.4289 0.2793 1
Se1 0.6138 0.6371 0.7406 1
```

=====

For Ta2GaSbIr2, DFT lattice parameters and positions (GGA-PBE) gives the theoretical powder X-ray diffraction pattern in this record (Cu Kα).
No peak broadening, texture or thermal motion is included.

The 10 most intense peaks (10° ≤ 2θ ≤ 90°), by angle:
| two_theta | d/Å | I_rel | hkl |
| --- | --- | --- | --- |
| 25.14 | 3.542 | 49 | 1 1 2 |
| 29.11 | 3.067 | 5 | 2 0 0 |
| 41.64 | 2.169 | 100 | 2 2 0 |
| 49.26 | 1.850 | 24 | 3 1 2 |
| 60.31 | 1.535 | 11 | 4 0 0 |
| 60.44 | 1.532 | 5 | 0 0 8 |
| 66.43 | 1.407 | 10 | 3 3 2 |
| 76.00 | 1.252 | 34 | 4 2 4 |
| 81.49 | 1.181 | 6 | 5 1 2 |
| 81.65 | 1.179 | 2 | 1 1 10 |

Structure:
```
data_Ta2GaSbIr2
_chemical_formula_sum 'Ta8 Ga4 Sb4 Ir8'
_symmetry_space_group_name_H-M 'I -4 2 d'
_symmetry_Int_Tables_number 122
_symmetry_space_group_name_Hall 'I -4 2bw'
_cell_length_a 6.1387
_cell_length_b 6.1387
_cell_length_c 12.2528
_cell_angle_alpha 90.00
_cell_angle_beta 90.00
_cell_angle_gamma 90.00
loop_
_atom_site_label
_atom_site_fract_x
_atom_site_fract_y
_atom_site_fract_z
_atom_site_occupancy
Ta1 0.0000 0.0000 0.2445 1
Ga1 0.0000 0.0000 0.0000 1
Sb1 0.0000 0.0000 0.5000 1
Ir1 0.2469 0.2500 0.1250 1
```

=====

For Dy4Cu2SnGe4, DFT lattice parameters and positions (GGA-PBE) gives the theoretical powder X-ray diffraction pattern in this record (Cu Kα).
No peak broadening, texture or thermal motion is included.

The 10 most intense peaks (10° ≤ 2θ ≤ 90°), by angle:
| two_theta | d/Å | I_rel | hkl |
| --- | --- | --- | --- |
| 27.73 | 3.217 | 25 | 3 1 0 |
| 32.77 | 2.733 | 28 | 1 1 -2 |
| 33.17 | 2.701 | 75 | 3 1 1 |
| 34.19 | 2.622 | 100 | 3 1 -2 |
| 34.59 | 2.593 | 30 | 6 0 -1 |
| 35.81 | 2.507 | 59 | 1 1 2 |
| 35.93 | 2.499 | 35 | 5 1 -1 |
| 37.05 | 2.426 | 46 | 5 1 0 |
| 37.73 | 2.384 | 28 | 6 0 -2 |
| 42.56 | 2.124 | 57 | 0 2 0 |

Structure:
```
data_Dy4Cu2SnGe4
_chemical_formula_sum 'Dy8 Cu4 Sn2 Ge8'
_symmetry_space_group_name_H-M 'C 1 2/m 1'
_symmetry_Int_Tables_number 12
_cell_length_a 15.5755
_cell_length_b 4.2480
_cell_length_c 7.1673
_cell_angle_alpha 90.00
_cell_angle_beta 108.41
_cell_angle_gamma 90.00
loop_
_symmetry_equiv_pos_as_xyz
'x,y,z'
'-x,-y,-z'
'-x,y,-z'
'x,-y,z'
'x+1/2,y+1/2,z'
'-x+1/2,-y+1/2,-z'
'-x+1/2,y+1/2,-z'
'x+1/2,-y+1/2,z'
loop_
_atom_site_label
_atom_site_fract_x
_atom_site_fract_y
_atom_site_fract_z
_atom_site_occupancy
Dy1 0.0900 0.0000 0.3829 1
Dy2 0.1507 0.0000 0.9309 1
Cu1 0.2162 0.5000 0.6332 1
Sn1 0.0000 0.5000 0.0000 1
Ge1 0.0625 0.5000 0.6587 1
Ge2 0.2007 0.5000 0.2522 1
```